Simulated powder XRD pattern of HoNi2Sb2 for Cu Kα (weighted mean of Kα1 and Kα2), from the GGA-PBE geometry in the Materials Project.

Cell and atoms:
Cell lengths 4.410, 4.410, 10.054 Å; angles 90.00, 90.00, 90.00 degrees
Space group P4/nmm (No. 129, origin choice 2)
Unique sites:
Ho (0.250, 0.250, 0.238) [2 per cell]
Ni (0.250, 0.250, 0.627) [2 per cell]
Ni (0.250, 0.750, 0.000) [2 per cell]
Sb (0.250, 0.250, 0.872) [2 per cell]
Sb (0.250, 0.750, 0.500) [2 per cell]

Peak list (8 most intense, 2θ = 10–80°, sorted by position)
| 2θ (°) | d_spacing | I (rel.) | index |
| --- | --- | --- | --- |
| 33.59 | 2.668 | 66 | 1 0 3 |
| 33.83 | 2.650 | 100 | 1 1 2 |
| 40.93 | 2.205 | 68 | 2 0 0 |
| 49.84 | 1.830 | 23 | 1 0 5 |
| 53.95 | 1.700 | 34 | 2 1 3 |
| 59.27 | 1.559 | 22 | 2 2 0 |
| 66.40 | 1.408 | 19 | 2 1 5 |
| 70.02 | 1.344 | 23 | 3 1 2 |

Simulated powder XRD pattern of HoSi2Ni for Cu Kα (weighted mean of Kα1 and Kα2), from the GGA-PBE geometry in the Materials Project.

Cell and atoms:
Cell lengths 3.960, 16.448, 3.942 Å; angles 90.00, 90.00, 90.00 degrees
Space group Cmcm (No. 63)
Unique sites:
Ho (0.000, 0.106, 0.250) [4 per cell]
Si (0.000, 0.251, 0.750) [4 per cell]
Si (0.000, 0.460, 0.250) [4 per cell]
Ni (0.000, 0.323, 0.250) [4 per cell]

Peak list (8 most intense, 2θ = 10–80°, sorted by position)
| 2θ (°) | d_spacing | I (rel.) | index |
| --- | --- | --- | --- |
| 21.61 | 4.112 | 36 | 0 4 0 |
| 25.05 | 3.555 | 31 | 0 2 1 |
| 32.51 | 2.755 | 74 | 1 1 1 |
| 35.48 | 2.530 | 74 | 1 5 0 |
| 36.08 | 2.489 | 100 | 1 3 1 |
| 40.06 | 2.251 | 33 | 0 6 1 |
| 45.83 | 1.980 | 30 | 2 0 0 |
| 59.44 | 1.555 | 33 | 1 5 2 |

Simulated powder XRD pattern of HoSi3Ni5 for Cu Kα (weighted mean of Kα1 and Kα2), from the GGA-PBE geometry in the Materials Project.

Cell and atoms:
Cell lengths 18.624, 3.767, 6.692 Å; angles 90.00, 90.00, 90.00 degrees
Space group Pnma (No. 62)
Unique sites:
Ho (0.144, 0.250, 0.122) [4 per cell]
Si (0.076, 0.750, 0.847) [4 per cell]
Si (0.085, 0.750, 0.413) [4 per cell]
Si (0.237, 0.250, 0.622) [4 per cell]
Ni (0.006, 0.750, 0.132) [4 per cell]
Ni (0.014, 0.250, 0.381) [4 per cell]
Ni (0.114, 0.250, 0.644) [4 per cell]
Ni (0.201, 0.750, 0.815) [4 per cell]
Ni (0.205, 0.750, 0.429) [4 per cell]

Peak list (8 most intense, 2θ = 10–80°, sorted by position)
| 2θ (°) | d_spacing | I (rel.) | index |
| --- | --- | --- | --- |
| 25.51 | 3.492 | 12 | 2 1 0 |
| 36.08 | 2.489 | 19 | 5 0 2 |
| 36.49 | 2.463 | 15 | 5 1 1 |
| 37.55 | 2.395 | 30 | 6 1 0 |
| 38.81 | 2.320 | 100 | 3 1 2 |
| 45.84 | 1.980 | 14 | 8 1 0 |
| 48.33 | 1.883 | 30 | 0 2 0 |
| 51.96 | 1.760 | 13 | 9 0 2 |